No. 1
TiS2: computed PXRD pattern (CuKα), based on a cell relaxed with PBE.
Kinematic intensities with the Lorentz-polarization factor, no thermal factor.

The 12 most intense peaks (10° ≤ 2θ ≤ 90°), by angle:
- hkl 0 0 2, 2θ = 13.67°, d 6.480, I 100
- hkl 1 0 0, 2θ = 30.84°, d 2.900, I 41
- hkl 1 0 2, 2θ = 33.87°, d 2.647, I 15
- hkl 1 0 3, 2θ = 37.35°, d 2.407, I 80
- hkl 1 0 5, 2θ = 47.03°, d 1.932, I 58
- hkl 1 1 0, 2θ = 54.84°, d 1.674, I 27
- hkl 0 0 8, 2θ = 56.81°, d 1.620, I 19
- hkl 2 0 0, 2θ = 64.25°, d 1.450, I 4
- hkl 1 0 8, 2θ = 66.06°, d 1.414, I 8
- hkl 2 0 3, 2θ = 68.24°, d 1.374, I 12
- hkl 2 0 5, 2θ = 75.08°, d 1.265, I 13
- hkl 1 1 8, 2θ = 82.94°, d 1.164, I 14

```
6
Lattice="3.348 0.000 0.000 -1.674 2.900 0.000 0.000 0.000 12.959" Properties=species:S:1:pos:R:3 pbc="T T T"
Ti 0.000 1.933 3.240
Ti 1.674 0.967 9.719
S 0.000 1.933 8.214
S 0.000 1.933 11.225
S 1.674 0.967 1.734
S 1.674 0.967 4.745
```

=====

No. 2
Na2CoCl4: computed PXRD pattern (CuKα), based on a cell relaxed with PBE.
Kinematic intensities with the Lorentz-polarization factor, no thermal factor.

The 12 most intense peaks (10° ≤ 2θ ≤ 90°), by angle:
- hkl 2 1 0, 2θ = 16.72°, d 5.303, I 100
- hkl 0 1 1, 2θ = 17.51°, d 5.066, I 40
- hkl 3 1 1, 2θ = 26.09°, d 3.415, I 62
- hkl 1 2 1, 2θ = 26.51°, d 3.362, I 66
- hkl 2 2 1, 2θ = 28.80°, d 3.100, I 72
- hkl 4 0 1, 2θ = 29.26°, d 3.052, I 48
- hkl 1 1 2, 2θ = 30.54°, d 2.927, I 28
- hkl 2 2 2, 2θ = 37.81°, d 2.379, I 57
- hkl 0 4 0, 2θ = 44.01°, d 2.057, I 39
- hkl 6 2 0, 2θ = 44.98°, d 2.015, I 68
- hkl 2 2 3, 2θ = 49.74°, d 1.833, I 56
- hkl 4 0 3, 2θ = 50.04°, d 1.823, I 25

```
28
Lattice="13.870 0.000 0.000 0.000 8.230 0.000 0.000 0.000 6.429" Properties=species:S:1:pos:R:3 pbc="T T T"
Na 0.000 0.000 0.000
Na 0.000 4.115 0.000
Na 3.171 2.057 3.104
Na 3.764 6.172 6.319
Na 6.935 0.000 3.214
Na 6.935 4.115 3.214
Na 10.106 2.057 0.110
Na 10.700 6.172 3.324
Co 1.262 6.172 2.591
Co 5.673 2.057 5.806
Co 8.197 6.172 0.623
Co 12.609 2.057 3.838
Cl 0.844 2.057 4.714
Cl 1.269 6.172 4.841
Cl 2.290 4.375 1.652
Cl 2.290 7.970 1.652
Cl 4.645 0.260 4.867
Cl 4.645 3.855 4.867
Cl 5.666 2.057 1.627
Cl 6.091 6.172 1.500
Cl 7.780 2.057 4.929
Cl 8.204 6.172 4.802
Cl 9.225 4.375 1.562
Cl 9.225 7.970 1.562
Cl 11.581 0.260 4.777
Cl 11.581 3.855 4.777
Cl 12.601 2.057 1.587
Cl 13.026 6.172 1.715
```